# 1
The following is a simulated powder X-ray diffraction pattern of Bi4IO6. It was derived from a DFT-relaxed cell (PBE, Alexandria), using Cu Kα (weighted mean of Kα1 and Kα2).
Lines closer than 0.1° are merged.

Top 6 peaks for 10° ≤ 2θ ≤ 90°, low angle first:
2theta, Rel. int., hkl
23.2, 46, -1 1 1
23.4, 82, 1 0 -1
27.7, 99, 1 -1 1
27.9, 100, 1 1 2
28.4, 62, 0 2 1
32.8, 82, 2 -1 0

Structure:
```
Bi4IO6
1.0
6.061 0.000 0.000
0.020 6.289 0.000
1.430 3.074 6.009
Bi I O
4 1 6
Cartesian
0.000 0.000 0.000
1.098 6.681 4.159
2.597 3.429 0.091
5.133 4.052 2.936
3.418 7.053 1.808
0.614 5.336 2.212
2.373 5.261 5.219
2.931 8.083 5.038
5.245 5.520 4.569
4.923 4.324 0.135
6.571 2.759 3.887
```

---

# 2
The following is a simulated powder X-ray diffraction pattern of BiIO3. It was derived from a DFT-relaxed cell (PBE, Alexandria), using Cu Kα (weighted mean of Kα1 and Kα2).
Lines closer than 0.1° are merged.

Top 6 peaks for 10° ≤ 2θ ≤ 90°, low angle first:
2theta, Rel. int., hkl
19.5, 40, 0 1 1
27.0, 100, 1 1 -1
27.8, 100, 0 0 2
29.2, 57, 1 1 1
39.7, 35, 0 2 2
47.2, 37, 1 1 -3

Structure:
```
BiIO3
1.0
4.447 0.000 0.000
0.000 6.423 0.000
-0.701 0.000 6.435
Bi I O
2 2 6
Cartesian
-0.070 0.000 1.556
3.816 3.212 4.879
1.240 0.503 4.519
2.506 3.714 1.915
-0.404 1.013 5.449
0.068 5.478 3.625
2.063 5.722 1.250
1.683 2.511 5.184
3.677 2.266 2.810
4.150 4.225 0.986
```